ErAgSe2: computed X-ray diffraction stick pattern (λ = 1.5418 Å (Cu Kα)), based on the PBE geometry in the Materials Project.
Kinematic intensities with the Lorentz-polarization factor, no thermal factor.

Structural model:
Cell lengths 5.6926, 5.6926, 12.0944 Å; angles 90.00, 90.00, 90.00 degrees
Element x y z (fractional)
Er1 0.0000 0.2500 0.3750
Er2 0.0000 0.7500 0.6250
Er3 0.5000 0.2500 0.1250
Er4 0.5000 0.7500 0.8750
Ag1 0.0000 0.2500 0.8750
Ag2 0.0000 0.7500 0.1250
Ag3 0.5000 0.2500 0.6250
Ag4 0.5000 0.7500 0.3750
Se1 0.0000 0.2500 0.1387
Se2 0.0000 0.2500 0.6113
Se3 0.0000 0.7500 0.3887
Se4 0.0000 0.7500 0.8613
Se5 0.5000 0.2500 0.3613
Se6 0.5000 0.2500 0.8887
Se7 0.5000 0.7500 0.1113
Se8 0.5000 0.7500 0.6387

Largest 12 diffraction maxima, sorted by position, 10 to 90 degrees two-theta:
| (hkl) | Position (°2θ) | I (rel.) |
| --- | --- | --- |
| 1 1 2 | 26.6 | 23 |
| 0 0 4 | 29.5 | 56 |
| 2 0 0 | 31.4 | 100 |
| 2 0 4 | 43.7 | 77 |
| 2 2 0 | 45.0 | 37 |
| 2 2 4 | 54.8 | 39 |
| 4 0 0 | 65.6 | 12 |
| 2 0 8 | 70.5 | 16 |
| 4 0 4 | 73.6 | 16 |
| 4 2 0 | 74.5 | 16 |
| 2 2 8 | 79.3 | 12 |
| 4 2 4 | 82.2 | 24 |